(1)
Computed powder diffractogram
Compound: Zn3CdO4
Radiation: CuKα
Structure: a GGA-PBE-relaxed structure
Kinematic intensities with the Lorentz-polarization factor, no thermal factor.

Principal peaks in the range 2θ from 10° to 90°, sorted by position:
2theta  I_rel
30.69  47
32.49  34
34.83  100
45.29  22
52.01  5
54.55  32
59.48  29
64.95  25
66.37  15
84.96  10

Atomic structure:
```
data_Zn3CdO4
_chemical_formula_sum 'Zn3 Cd1 O4'
_cell_length_a 3.3643
_cell_length_b 3.3643
_cell_length_c 11.0241
_cell_angle_alpha 90.00
_cell_angle_beta 90.00
_cell_angle_gamma 120.00
_space_group_name_H-M_alt 'P 3 m 1'
_space_group_IT_number 156
_space_group_name_Hall 'P 3 -2"'
loop_
_atom_site_label
_atom_site_fract_x
_atom_site_fract_y
_atom_site_fract_z
Zn1 0.0000 0.0000 0.0000
Zn2 0.0000 0.0000 0.4732
Zn3 0.6667 0.3333 0.2367
Cd1 0.6667 0.3333 0.7415
O1 0.0000 0.0000 0.1818
O2 0.0000 0.0000 0.6530
O3 0.6667 0.3333 0.4181
O4 0.6667 0.3333 0.9451
```

=====

(2)
Computed powder diffractogram
Compound: Ba3Al4Sb6O21
Radiation: CuKα
Structure: a GGA-PBE-relaxed structure
Kinematic intensities with the Lorentz-polarization factor, no thermal factor.

Principal peaks in the range 2θ from 10° to 90°, sorted by position:
2theta  I_rel
20.21  15
22.41  68
23.84  100
24.98  31
26.53  20
30.52  19
32.63  28
33.28  61
40.53  20
45.79  18

Atomic structure:
```
data_Ba3Al4Sb6O21
_chemical_formula_sum 'Ba6 Al8 Sb12 O42'
_cell_length_a 17.651
_cell_length_b 5.377
_cell_length_c 15.877
_cell_angle_alpha 90.00
_cell_angle_beta 118.19
_cell_angle_gamma 90.00
_space_group_name_H-M_alt 'C 1 2 1'
_space_group_IT_number 5
_space_group_name_Hall 'C 2y'
loop_
_atom_site_label
_atom_site_fract_x
_atom_site_fract_y
_atom_site_fract_z
Ba1 0.000 0.000 0.000
Ba2 0.160 0.591 0.342
Al1 0.085 0.060 0.477
Al2 0.090 0.517 0.870
Sb1 0.036 0.093 0.766
Sb2 0.161 0.570 0.605
Sb3 0.187 0.539 0.102
O1 0.000 0.097 0.500
O2 0.004 0.286 0.848
O3 0.035 0.741 0.775
O4 0.053 0.176 0.356
O5 0.114 0.680 0.148
O6 0.121 0.752 0.481
O7 0.133 0.698 0.972
O8 0.139 0.298 0.818
O9 0.155 0.211 0.054
O10 0.174 0.245 0.552
O11 0.219 0.148 0.338
```

=====

(3)
Computed powder diffractogram
Compound: Ca3CuRhO6
Radiation: CuKα
Structure: a GGA-PBE-relaxed structure
Kinematic intensities with the Lorentz-polarization factor, no thermal factor.

Principal peaks in the range 2θ from 10° to 90°, sorted by position:
2theta  I_rel
18.97  30
19.29  100
30.74  34
33.35  70
33.90  38
39.31  26
39.55  20
44.21  24
44.33  31
46.41  38

Atomic structure:
```
data_Ca3CuRhO6
_chemical_formula_sum 'Ca12 Cu4 Rh4 O24'
_cell_length_a 9.115
_cell_length_b 9.358
_cell_length_c 6.464
_cell_angle_alpha 90.00
_cell_angle_beta 90.36
_cell_angle_gamma 90.00
_space_group_name_H-M_alt 'C 1 2/c 1'
_space_group_IT_number 15
_space_group_name_Hall '-C 2yc'
loop_
_atom_site_label
_atom_site_fract_x
_atom_site_fract_y
_atom_site_fract_z
Ca1 0.000 0.098 0.250
Ca2 0.189 0.425 0.376
Cu1 0.000 0.310 0.750
Rh1 0.250 0.250 0.000
O1 0.050 0.343 0.042
O2 0.144 0.064 0.934
O3 0.211 0.316 0.705
```